Theoretical powder XRD pattern
Compound: Ac8Co3Ir
Radiation: Cu Ka
Structure: a cell relaxed with PBE
Lines closer than 0.1° are merged.

Atomic structure:
```
data_Ac8Co3Ir
_chemical_formula_sum 'Ac16 Co6 Ir2'
_symmetry_space_group_name_H-M 'C 1 2/m 1'
_symmetry_Int_Tables_number 12
_cell_length_a 14.243
_cell_length_b 8.602
_cell_length_c 8.288
_cell_angle_alpha 90.00
_cell_angle_beta 122.78
_cell_angle_gamma 90.00
loop_
_symmetry_equiv_pos_as_xyz
'x,y,z'
'-x,-y,-z'
'-x,y,-z'
'x,-y,z'
'x+1/2,y+1/2,z'
'-x+1/2,-y+1/2,-z'
'-x+1/2,y+1/2,-z'
'x+1/2,-y+1/2,z'
loop_
_atom_site_label
_atom_site_type_symbol
_atom_site_fract_x
_atom_site_fract_y
_atom_site_fract_z
Ac1 Ac 0.008 0.245 0.247
Ac2 Ac 0.243 0.000 0.257
Ac3 Ac 0.247 0.500 0.263
Co1 Co 0.000 0.000 0.000
Co2 Co 0.250 0.250 0.500
Ir1 Ir 0.000 0.500 0.000
```

Main lines, in order of rising 2θ (2θ = 10–90°):
13.29°, I = 27; 25.52°, I = 94; 29.85°, I = 50; 29.96°, I = 100; 42.02°, I = 62; 43.57°, I = 34

---

Theoretical powder XRD pattern
Compound: Ac3CoIr2
Radiation: Cu Ka
Structure: a cell relaxed with PBE
Lines closer than 0.1° are merged.

Atomic structure:
```
data_Ac3CoIr2
_chemical_formula_sum 'Ac12 Co4 Ir8'
_symmetry_space_group_name_H-M 'P n m a'
_symmetry_Int_Tables_number 62
_cell_length_a 12.140
_cell_length_b 4.247
_cell_length_c 12.675
_cell_angle_alpha 90.00
_cell_angle_beta 90.00
_cell_angle_gamma 90.00
loop_
_symmetry_equiv_pos_as_xyz
'x,y,z'
'-x,-y,-z'
'-x+1/2,-y,z+1/2'
'x+1/2,y,-z+1/2'
'x+1/2,-y+1/2,-z+1/2'
'-x+1/2,y+1/2,z+1/2'
'-x,y+1/2,-z'
'x,-y+1/2,z'
loop_
_atom_site_label
_atom_site_type_symbol
_atom_site_fract_x
_atom_site_fract_y
_atom_site_fract_z
Ac1 Ac 0.063 0.250 0.118
Ac2 Ac 0.124 0.750 0.551
Ac3 Ac 0.202 0.250 0.805
Co1 Co 0.113 0.250 0.359
Ir1 Ir 0.033 0.750 0.319
Ir2 Ir 0.185 0.750 0.975
```

Main lines, in order of rising 2θ (2θ = 10–90°):
29.28°, I = 64; 29.83°, I = 100; 30.28°, I = 62; 33.70°, I = 52; 38.45°, I = 60; 42.57°, I = 58

---

Theoretical powder XRD pattern
Compound: Ac16Co5Ir3
Radiation: Cu Ka
Structure: a cell relaxed with PBE
Lines closer than 0.1° are merged.

Atomic structure:
```
data_Ac16Co5Ir3
_chemical_formula_sum 'Ac32 Co10 Ir6'
_symmetry_space_group_name_H-M 'C 1 m 1'
_symmetry_Int_Tables_number 8
_cell_length_a 14.801
_cell_length_b 8.543
_cell_length_c 13.731
_cell_angle_alpha 90.00
_cell_angle_beta 90.01
_cell_angle_gamma 90.00
loop_
_symmetry_equiv_pos_as_xyz
'x,y,z'
'x,-y,z'
'x+1/2,y+1/2,z'
'x+1/2,-y+1/2,z'
loop_
_atom_site_label
_atom_site_type_symbol
_atom_site_fract_x
_atom_site_fract_y
_atom_site_fract_z
Ac1 Ac 0.000 0.000 0.000
Ac2 Ac 0.001 0.000 0.502
Ac3 Ac 0.018 0.500 0.518
Ac4 Ac 0.085 0.252 0.771
Ac5 Ac 0.172 0.000 0.267
Ac6 Ac 0.176 0.500 0.275
Ac7 Ac 0.251 0.271 0.518
Ac8 Ac 0.264 0.232 0.015
Ac9 Ac 0.339 0.500 0.773
Ac10 Ac 0.341 0.000 0.777
Ac11 Ac 0.419 0.254 0.271
Ac12 Ac 0.492 0.000 0.015
Co1 Co 0.172 0.500 0.655
Co2 Co 0.338 0.500 0.391
Co3 Co 0.340 0.000 0.152
Co4 Co 0.421 0.249 0.890
Ir1 Ir 0.089 0.249 0.388
Ir2 Ir 0.170 0.000 0.888
```

Main lines, in order of rising 2θ (2θ = 10–90°):
24.93°, I = 19; 27.38°, I = 100; 31.08°, I = 43; 40.93°, I = 24; 42.31°, I = 42; 46.67°, I = 21

---

Theoretical powder XRD pattern
Compound: Ac12Co4Ir
Radiation: Cu Ka
Structure: a cell relaxed with PBE
Lines closer than 0.1° are merged.

Atomic structure:
```
data_Ac12Co4Ir
_chemical_formula_sum 'Ac24 Co8 Ir2'
_symmetry_space_group_name_H-M 'I m m m'
_symmetry_Int_Tables_number 71
_symmetry_space_group_name_Hall '-I 2 2'
_cell_length_a 10.862
_cell_length_b 10.883
_cell_length_c 10.885
_cell_angle_alpha 90.00
_cell_angle_beta 90.00
_cell_angle_gamma 90.00
loop_
_atom_site_label
_atom_site_type_symbol
_atom_site_fract_x
_atom_site_fract_y
_atom_site_fract_z
Ac1 Ac 0.000 0.176 0.214
Ac2 Ac 0.182 0.500 0.312
Ac3 Ac 0.209 0.179 0.500
Co1 Co 0.250 0.250 0.250
Ir1 Ir 0.000 0.000 0.500
```

Main lines, in order of rising 2θ (2θ = 10–90°):
25.90°, I = 100; 28.43°, I = 36; 30.76°, I = 80; 32.94°, I = 25; 48.82°, I = 49; 51.81°, I = 42

---

Theoretical powder XRD pattern
Compound: Ac12Co5Ir
Radiation: Cu Ka
Structure: a cell relaxed with PBE
Lines closer than 0.1° are merged.

Atomic structure:
```
data_Ac12Co5Ir
_chemical_formula_sum 'Ac24 Co10 Ir2'
_symmetry_space_group_name_H-M 'C 1 2/m 1'
_symmetry_Int_Tables_number 12
_cell_length_a 7.314
_cell_length_b 12.917
_cell_length_c 13.719
_cell_angle_alpha 90.00
_cell_angle_beta 90.16
_cell_angle_gamma 90.00
loop_
_symmetry_equiv_pos_as_xyz
'x,y,z'
'-x,-y,-z'
'-x,y,-z'
'x,-y,z'
'x+1/2,y+1/2,z'
'-x+1/2,-y+1/2,-z'
'-x+1/2,y+1/2,-z'
'x+1/2,-y+1/2,z'
loop_
_atom_site_label
_atom_site_type_symbol
_atom_site_fract_x
_atom_site_fract_y
_atom_site_fract_z
Ac1 Ac 0.157 0.000 0.114
Ac2 Ac 0.164 0.166 0.389
Ac3 Ac 0.164 0.500 0.388
Ac4 Ac 0.169 0.330 0.113
Co1 Co 0.000 0.000 0.500
Co2 Co 0.000 0.167 0.000
Co3 Co 0.000 0.334 0.500
Ir1 Ir 0.000 0.500 0.000
```

Main lines, in order of rising 2θ (2θ = 10–90°):
12.91°, I = 25; 25.20°, I = 28; 25.98°, I = 22; 27.33°, I = 100; 31.31°, I = 28; 43.15°, I = 37

---

Theoretical powder XRD pattern
Compound: Ac8Co4Ir
Radiation: Cu Ka
Structure: a cell relaxed with PBE
Lines closer than 0.1° are merged.

Atomic structure:
```
data_Ac8Co4Ir
_chemical_formula_sum 'Ac16 Co8 Ir2'
_symmetry_space_group_name_H-M 'C 1 m 1'
_symmetry_Int_Tables_number 8
_cell_length_a 20.371
_cell_length_b 4.275
_cell_length_c 13.917
_cell_angle_alpha 90.00
_cell_angle_beta 131.37
_cell_angle_gamma 90.00
loop_
_symmetry_equiv_pos_as_xyz
'x,y,z'
'x,-y,z'
'x+1/2,y+1/2,z'
'x+1/2,-y+1/2,z'
loop_
_atom_site_label
_atom_site_type_symbol
_atom_site_fract_x
_atom_site_fract_y
_atom_site_fract_z
Ac1 Ac 0.000 0.000 0.000
Ac2 Ac 0.022 0.000 0.738
Ac3 Ac 0.071 0.000 0.477
Ac4 Ac 0.158 0.500 0.335
Ac5 Ac 0.196 0.500 0.077
Ac6 Ac 0.225 0.500 0.816
Ac7 Ac 0.321 0.000 0.677
Ac8 Ac 0.400 0.000 0.140
Co1 Co 0.018 0.000 0.228
Co2 Co 0.203 0.500 0.592
Co3 Co 0.215 0.000 0.938
Co4 Co 0.497 0.000 0.847
Ir1 Ir 0.185 0.000 0.217
```

Main lines, in order of rising 2θ (2θ = 10–90°):
26.34°, I = 46; 27.23°, I = 67; 28.39°, I = 100; 29.73°, I = 39; 44.26°, I = 52; 46.30°, I = 33